Calculated X-ray diffraction stick pattern of BaSc5 for copper Kα, from DFT lattice parameters and positions (PBE).

```
data_BaSc5
_cell_length_a 5.9825
_cell_length_b 5.9825
_cell_length_c 5.4122
_cell_angle_alpha 90.00
_cell_angle_beta 90.00
_cell_angle_gamma 120.00
_symmetry_space_group_name_H-M 'P -6 2 m'
_symmetry_Int_Tables_number 189
_symmetry_space_group_name_Hall 'P -6 -2'
loop_
_atom_site_label
_atom_site_type_symbol
_atom_site_fract_x
_atom_site_fract_y
_atom_site_fract_z
Ba1 Ba 0.0000 0.0000 0.0000
Sc1 Sc 0.0000 0.6383 0.5000
Sc2 Sc 0.3333 0.6667 0.0000
```

Main lines, sorted by position (2θ from 5° to 70°):
- hkl 1 0 0, 2θ = 17.1°, I 15
- hkl 1 0 1, 2θ = 23.8°, I 26
- hkl 1 1 0, 2θ = 29.9°, I 28
- hkl 0 0 2, 2θ = 33.1°, I 24
- hkl 1 1 1, 2θ = 34.3°, I 100
- hkl 1 1 2, 2θ = 45.2°, I 17
- hkl 3 0 0, 2θ = 53.0°, I 16
- hkl 1 1 3, 2θ = 59.9°, I 18
- hkl 3 0 2, 2θ = 64.0°, I 18
- hkl 2 2 1, 2θ = 64.7°, I 13